(1)
The following is a calculated PXRD pattern of SmMgSe3. It was derived from a DFT-relaxed cell (PBE, the Materials Project), using Cu Kα (weighted mean of Kα1 and Kα2).

Largest 10 diffraction maxima, low angle first, 5 to 70 degrees two-theta:
d/Å  Position (°2θ)  I_rel
6.492  13.64  23
5.142  17.25  20
3.794  23.45  22
3.078  29.01  100
2.991  29.87  14
2.571  34.90  17
2.379  37.82  64
2.018  44.91  41
1.840  49.54  18
1.688  54.36  14

Structural model:
abc: 6.9914 6.9914 19.4767
angles: 90.00 90.00 120.00
Space group R-3 (No. 148, hexagonal axes)
Inequivalent atoms, fractional coordinates:
Sm 0.0000 0.0000 0.1510 x6
Mg 0.0000 0.0000 0.3385 x6
Se 0.0054 0.6351 0.9174 x18

=====

(2)
The following is a calculated PXRD pattern of Na2O. It was derived from a DFT-relaxed cell (PBE, the Materials Project), using Cu Kα (weighted mean of Kα1 and Kα2).

Largest 10 diffraction maxima, low angle first, 5 to 70 degrees two-theta:
d/Å  Position (°2θ)  I_rel
2.680  33.43  4
2.361  38.11  100
2.161  41.80  77
2.026  44.73  41
1.827  49.93  26
1.787  51.12  23
1.772  51.58  15
1.487  62.47  8
1.377  68.09  11
1.357  69.25  19

Structural model:
abc: 6.1899 6.1899 3.6533
angles: 90.00 90.00 120.00
Space group P3 (No. 143)
Inequivalent atoms, fractional coordinates:
Na 0.9999 0.4121 0.0000 x3
Na 0.0001 0.7387 0.4998 x3
O 0.0000 0.0000 0.9997 x1
O 0.3333 0.6667 0.4902 x1
O 0.6667 0.3333 0.5068 x1

=====

(3)
The following is a calculated PXRD pattern of Hf2Al3Ni. It was derived from a DFT-relaxed cell (PBE, the Materials Project), using Cu Kα (weighted mean of Kα1 and Kα2).

Largest 10 diffraction maxima, low angle first, 5 to 70 degrees two-theta:
d/Å  Position (°2θ)  I_rel
4.262  20.84  52
4.115  21.60  39
2.622  34.20  100
2.552  35.16  60
2.233  40.39  29
2.211  40.81  98
2.169  41.64  41
1.500  61.86  24
1.421  65.73  24
1.409  66.33  21

Structural model:
abc: 5.2434 5.2434 12.3442
angles: 90.00 90.00 120.00
Space group R-3m (No. 166, hexagonal axes)
Inequivalent atoms, fractional coordinates:
Hf 0.0000 0.0000 0.1265 x6
Al 0.0000 0.5000 0.0000 x9
Ni 0.0000 0.0000 0.5000 x3

=====

(4)
The following is a calculated PXRD pattern of Na4CdP2. It was derived from a DFT-relaxed cell (PBE, the Materials Project), using Cu Kα (weighted mean of Kα1 and Kα2).

Largest 10 diffraction maxima, low angle first, 5 to 70 degrees two-theta:
d/Å  Position (°2θ)  I_rel
8.602  10.28  42
4.300  20.66  100
4.131  21.51  62
3.331  26.76  59
2.518  35.66  93
2.221  40.62  57
1.892  48.09  24
1.665  55.15  22
1.635  56.26  21
1.389  67.42  23

Structural model:
abc: 5.0355 5.0355 25.8055
angles: 90.00 90.00 120.00
Space group R-3m (No. 166, hexagonal axes)
Inequivalent atoms, fractional coordinates:
Na 0.0000 0.0000 0.0931 x6
Na 0.0000 0.0000 0.2931 x6
Cd 0.0000 0.0000 0.5000 x3
P 0.0000 0.0000 0.4061 x6

=====

(5)
The following is a calculated PXRD pattern of Y2Mg3N4. It was derived from a DFT-relaxed cell (PBE, the Materials Project), using Cu Kα (weighted mean of Kα1 and Kα2).

Largest 10 diffraction maxima, low angle first, 5 to 70 degrees two-theta:
d/Å  Position (°2θ)  I_rel
5.704  15.53  97
3.113  28.68  48
2.852  31.36  29
2.754  32.51  80
2.720  32.93  38
2.711  33.04  100
2.117  42.72  37
2.084  43.43  51
1.766  51.76  28
1.636  56.22  31

Structural model:
abc: 11.4163 7.2526 6.0714
angles: 90.00 92.08 90.00
Space group C2/c (No. 15)
Inequivalent atoms, fractional coordinates:
Y 0.2443 0.1176 0.2192 x8
Mg 0.0000 0.0379 0.7500 x4
Mg 0.0589 0.3574 0.4380 x8
N 0.1270 0.3997 0.1065 x8
N 0.1283 0.1074 0.5339 x8

=====

(6)
The following is a calculated PXRD pattern of KTlBr3. It was derived from a DFT-relaxed cell (PBE, the Materials Project), using Cu Kα (weighted mean of Kα1 and Kα2).

Largest 10 diffraction maxima, low angle first, 5 to 70 degrees two-theta:
d/Å  Position (°2θ)  I_rel
5.873  15.09  100
4.153  21.40  40
2.936  30.44  77
2.626  34.14  55
2.398  37.51  18
2.076  43.59  56
1.958  46.38  30
1.695  54.09  19
1.629  56.50  14
1.424  65.53  17

Structural model:
abc: 11.7460 11.7460 11.7460
angles: 90.00 90.00 90.00
Space group Fm-3m (No. 225)
Inequivalent atoms, fractional coordinates:
K 0.2500 0.2500 0.2500 x8
Tl 0.0000 0.0000 0.0000 x4
Tl 0.0000 0.0000 0.5000 x4
Br 0.0000 0.0000 0.2385 x24

=====

(7)
The following is a calculated PXRD pattern of Eu2Zn3Ge. It was derived from a DFT-relaxed cell (PBE, the Materials Project), using Cu Kα (weighted mean of Kα1 and Kα2).

Largest 10 diffraction maxima, low angle first, 5 to 70 degrees two-theta:
d/Å  Position (°2θ)  I_rel
3.926  22.65  15
2.746  32.61  42
2.710  33.06  100
2.693  33.27  38
2.376  37.86  20
2.277  39.59  33
2.247  40.12  43
1.739  52.64  20
1.644  55.93  12
1.451  64.18  21

Structural model:
abc: 4.5533 7.7524 7.4901
angles: 90.00 90.00 90.00
Space group Pmc2_1 (No. 26)
Inequivalent atoms, fractional coordinates:
Eu 0.0000 0.0407 0.0000 x2
Eu 0.5000 0.4503 0.9961 x2
Zn 0.0000 0.3328 0.6828 x2
Zn 0.5000 0.1612 0.3079 x2
Zn 0.5000 0.1627 0.6916 x2
Ge 0.0000 0.3405 0.3043 x2

=====

(8)
The following is a calculated PXRD pattern of DyH3. It was derived from a DFT-relaxed cell (PBE, the Materials Project), using Cu Kα (weighted mean of Kα1 and Kα2).

Largest 10 diffraction maxima, low angle first, 5 to 70 degrees two-theta:
d/Å  Position (°2θ)  I_rel
4.286  20.72  62
3.322  26.84  97
2.626  34.15  100
2.143  42.17  10
1.918  47.40  22
1.801  50.69  34
1.751  52.25  32
1.661  55.31  13
1.549  59.70  21
1.429  65.29  19

Structural model:
abc: 3.8360 3.8360 4.2861
angles: 90.00 90.00 120.00
Space group P-3m1 (No. 164)
Inequivalent atoms, fractional coordinates:
Dy 0.0000 0.0000 0.0000 x1
H 0.0000 0.0000 0.5000 x1
H 0.3333 0.6667 0.0439 x2